Simulated powder X-ray diffraction pattern of SmTiS for Cu Kα X-rays, from DFT lattice parameters and positions (PBE).
No peak broadening, texture or thermal motion is included.

Atomic structure:
```
data_SmTiS
_space_group_name_H-M_alt 'P 1'
_space_group_IT_number 1
_space_group_name_Hall 'P 1'
_cell_length_a 3.6037
_cell_length_b 4.5512
_cell_length_c 15.5126
_cell_angle_alpha 90.00
_cell_angle_beta 90.00
_cell_angle_gamma 90.00
loop_
_atom_site_label
_atom_site_type_symbol
_atom_site_fract_x
_atom_site_fract_y
_atom_site_fract_z
Sm1 Sm 0.0000 0.0000 0.1674
Sm2 Sm 0.0000 0.0000 0.8326
Sm3 Sm 0.5000 0.5000 0.3326
Sm4 Sm 0.5000 0.5000 0.6674
Ti1 Ti 0.0000 0.2514 0.5000
Ti2 Ti 0.0000 0.7486 0.5000
Ti3 Ti 0.5000 0.2486 0.0000
Ti4 Ti 0.5000 0.7514 0.0000
S1 S 0.0000 0.0000 0.3488
S2 S 0.0000 0.0000 0.6512
S3 S 0.5000 0.5000 0.1512
S4 S 0.5000 0.5000 0.8488
```

Main lines, in order of rising 2θ (2θ = 5–70°):
2θ (°), I_rel
20.34, 26.0
26.08, 66.1
30.23, 92.3
31.67, 100.0
33.76, 38.3
34.70, 59.2
39.46, 31.9
41.35, 25.5
47.67, 78.9
50.65, 29.5

Simulated powder X-ray diffraction pattern of Sm2UTl2S6 for Cu Kα X-rays, from DFT lattice parameters and positions (PBE).
No peak broadening, texture or thermal motion is included.

Atomic structure:
```
data_Sm2UTl2S6
_space_group_name_H-M_alt 'P 1'
_space_group_IT_number 1
_space_group_name_Hall 'P 1'
_cell_length_a 7.0674
_cell_length_b 7.0674
_cell_length_c 7.9142
_cell_angle_alpha 98.73
_cell_angle_beta 98.73
_cell_angle_gamma 120.02
loop_
_atom_site_label
_atom_site_type_symbol
_atom_site_fract_x
_atom_site_fract_y
_atom_site_fract_z
Sm1 Sm 0.1666 0.8334 0.0000
Sm2 Sm 0.8334 0.1666 0.0000
U1 U 0.5000 0.5000 0.0000
Tl1 Tl 0.3309 0.6691 0.5000
Tl2 Tl 0.6691 0.3309 0.5000
S1 S 0.1122 0.4362 0.8046
S2 S 0.2483 0.2483 0.1970
S3 S 0.4362 0.1122 0.8046
S4 S 0.5638 0.8878 0.1954
S5 S 0.7517 0.7517 0.8030
S6 S 0.8878 0.5638 0.1954
```

Main lines, in order of rising 2θ (2θ = 5–70°):
2θ (°), I_rel
15.02, 31.9
18.67, 20.5
23.60, 42.0
26.43, 86.5
29.73, 50.3
29.86, 100.0
40.80, 41.5
41.01, 19.0
44.41, 51.5
54.35, 18.2

Simulated powder X-ray diffraction pattern of Sm3ZrTl3S8 for Cu Kα X-rays, from DFT lattice parameters and positions (PBE).
No peak broadening, texture or thermal motion is included.

Atomic structure:
```
data_Sm3ZrTl3S8
_space_group_name_H-M_alt 'P 1'
_space_group_IT_number 1
_space_group_name_Hall 'P 1'
_cell_length_a 8.8913
_cell_length_b 8.8913
_cell_length_c 8.8913
_cell_angle_alpha 53.92
_cell_angle_beta 53.92
_cell_angle_gamma 53.92
loop_
_atom_site_label
_atom_site_type_symbol
_atom_site_fract_x
_atom_site_fract_y
_atom_site_fract_z
Sm1 Sm 0.0000 0.5000 0.5000
Sm2 Sm 0.5000 0.0000 0.5000
Sm3 Sm 0.5000 0.5000 0.0000
Zr1 Zr 0.0000 0.0000 0.0000
Tl1 Tl 0.0000 0.0000 0.5000
Tl2 Tl 0.0000 0.5000 0.0000
Tl3 Tl 0.5000 0.0000 0.0000
S1 S 0.2201 0.2201 0.7531
S2 S 0.2201 0.7531 0.2201
S3 S 0.2469 0.7799 0.7799
S4 S 0.2657 0.2657 0.2657
S5 S 0.7343 0.7343 0.7343
S6 S 0.7531 0.2201 0.2201
S7 S 0.7799 0.2469 0.7799
S8 S 0.7799 0.7799 0.2469
```

Main lines, in order of rising 2θ (2θ = 5–70°):
2θ (°), I_rel
14.89, 17.0
23.49, 27.4
26.71, 53.9
30.04, 100.0
40.96, 38.2
44.98, 33.3
47.75, 15.9
51.35, 22.3
55.04, 17.5
67.91, 14.5

Simulated powder X-ray diffraction pattern of Sm3TmS4 for Cu Kα X-rays, from DFT lattice parameters and positions (PBE).
No peak broadening, texture or thermal motion is included.

Atomic structure:
```
data_Sm3TmS4
_space_group_name_H-M_alt 'P 1'
_space_group_IT_number 1
_space_group_name_Hall 'P 1'
_cell_length_a 5.6166
_cell_length_b 5.6166
_cell_length_c 5.6166
_cell_angle_alpha 90.00
_cell_angle_beta 90.00
_cell_angle_gamma 90.00
loop_
_atom_site_label
_atom_site_type_symbol
_atom_site_fract_x
_atom_site_fract_y
_atom_site_fract_z
Sm1 Sm 0.0000 0.0000 0.5000
Sm2 Sm 0.0000 0.5000 0.0000
Sm3 Sm 0.5000 0.0000 0.0000
Tm1 Tm 0.5000 0.5000 0.5000
S1 S 0.0000 0.0000 0.0000
S2 S 0.0000 0.5000 0.5000
S3 S 0.5000 0.0000 0.5000
S4 S 0.5000 0.5000 0.0000
```

Main lines, in order of rising 2θ (2θ = 5–70°):
2θ (°), I_rel
27.51, 79.2
31.87, 100.0
45.69, 72.2
54.16, 39.0
56.78, 25.1
66.60, 11.6

Simulated powder X-ray diffraction pattern of Sm3TmS6 for Cu Kα X-rays, from DFT lattice parameters and positions (PBE).
No peak broadening, texture or thermal motion is included.

Atomic structure:
```
data_Sm3TmS6
_space_group_name_H-M_alt 'P 1'
_space_group_IT_number 1
_space_group_name_Hall 'P 1'
_cell_length_a 8.1381
_cell_length_b 8.1381
_cell_length_c 8.1381
_cell_angle_alpha 91.36
_cell_angle_beta 91.36
_cell_angle_gamma 91.36
loop_
_atom_site_label
_atom_site_type_symbol
_atom_site_fract_x
_atom_site_fract_y
_atom_site_fract_z
Sm1 Sm 0.0681 0.5765 0.7486
Sm2 Sm 0.2514 0.9319 0.4235
Sm3 Sm 0.4235 0.2514 0.9319
Sm4 Sm 0.5765 0.7486 0.0681
Sm5 Sm 0.7486 0.0681 0.5765
Sm6 Sm 0.9319 0.4235 0.2514
Tm1 Tm 0.0000 0.0000 0.0000
Tm2 Tm 0.5000 0.5000 0.5000
S1 S 0.0386 0.9095 0.6869
S2 S 0.0905 0.3131 0.9614
S3 S 0.1897 0.5870 0.4214
S4 S 0.3131 0.9614 0.0905
S5 S 0.4130 0.5786 0.8103
S6 S 0.4214 0.1897 0.5870
S7 S 0.5786 0.8103 0.4130
S8 S 0.5870 0.4214 0.1897
S9 S 0.6869 0.0386 0.9095
S10 S 0.8103 0.4130 0.5786
S11 S 0.9095 0.6869 0.0386
S12 S 0.9614 0.0905 0.3131
```

Main lines, in order of rising 2θ (2θ = 5–70°):
2θ (°), I_rel
19.36, 49.8
21.86, 40.2
24.23, 100.0
24.71, 34.4
26.74, 77.1
34.62, 43.2
35.14, 67.2
41.01, 58.7
42.37, 29.7
45.73, 21.4

Simulated powder X-ray diffraction pattern of Sm4Tm11S22 for Cu Kα X-rays, from DFT lattice parameters and positions (PBE).
No peak broadening, texture or thermal motion is included.

Atomic structure:
```
data_Sm4Tm11S22
_space_group_name_H-M_alt 'P 1'
_space_group_IT_number 1
_space_group_name_Hall 'P 1'
_cell_length_a 19.5179
_cell_length_b 19.5179
_cell_length_c 11.2620
_cell_angle_alpha 91.56
_cell_angle_beta 91.56
_cell_angle_gamma 11.48
loop_
_atom_site_label
_atom_site_type_symbol
_atom_site_fract_x
_atom_site_fract_y
_atom_site_fract_z
Sm1 Sm 0.1051 0.1051 0.0122
Sm2 Sm 0.3680 0.3680 0.3488
Sm3 Sm 0.6320 0.6320 0.6512
Sm4 Sm 0.8949 0.8949 0.9878
Tm1 Tm 0.0000 0.0000 0.0000
Tm2 Tm 0.0702 0.0702 0.3589
Tm3 Tm 0.2020 0.2020 0.9419
Tm4 Tm 0.2652 0.2652 0.3531
Tm5 Tm 0.3420 0.3420 0.6981
Tm6 Tm 0.4611 0.4611 0.2692
Tm7 Tm 0.5389 0.5389 0.7308
Tm8 Tm 0.6580 0.6580 0.3019
Tm9 Tm 0.7348 0.7348 0.6469
Tm10 Tm 0.7980 0.7980 0.0581
Tm11 Tm 0.9298 0.9298 0.6411
S1 S 0.0077 0.0077 0.2406
S2 S 0.0883 0.0883 0.7556
S3 S 0.1353 0.1353 0.4538
S4 S 0.1684 0.1684 0.1502
S5 S 0.1875 0.1875 0.6911
S6 S 0.2552 0.2552 0.1203
S7 S 0.2793 0.2793 0.5928
S8 S 0.3509 0.3509 0.0933
S9 S 0.4068 0.4068 0.7894
S10 S 0.4426 0.4426 0.4914
S11 S 0.4526 0.4526 0.0295
S12 S 0.5474 0.5474 0.9705
S13 S 0.5574 0.5574 0.5086
S14 S 0.5932 0.5932 0.2106
S15 S 0.6491 0.6491 0.9067
S16 S 0.7207 0.7207 0.4072
S17 S 0.7448 0.7448 0.8797
S18 S 0.8125 0.8125 0.3089
S19 S 0.8316 0.8316 0.8498
S20 S 0.8647 0.8647 0.5462
S21 S 0.9117 0.9117 0.2444
S22 S 0.9923 0.9923 0.7594
```

Main lines, in order of rising 2θ (2θ = 5–70°):
2θ (°), I_rel
23.71, 80.8
24.46, 100.0
26.67, 57.0
27.55, 49.9
27.95, 60.1
31.78, 62.2
34.25, 57.2
42.50, 53.5
44.49, 39.8
46.54, 53.2

Simulated powder X-ray diffraction pattern of SmY4TmS8 for Cu Kα X-rays, from DFT lattice parameters and positions (PBE).
No peak broadening, texture or thermal motion is included.

Atomic structure:
```
data_SmY4TmS8
_space_group_name_H-M_alt 'P 1'
_space_group_IT_number 1
_space_group_name_Hall 'P 1'
_cell_length_a 8.0815
_cell_length_b 8.0815
_cell_length_c 8.0815
_cell_angle_alpha 59.86
_cell_angle_beta 59.86
_cell_angle_gamma 59.86
loop_
_atom_site_label
_atom_site_type_symbol
_atom_site_fract_x
_atom_site_fract_y
_atom_site_fract_z
Sm1 Sm 0.0000 0.0000 0.0000
Y1 Y 0.9999 0.9999 0.4987
Y2 Y 0.9999 0.4987 0.9999
Y3 Y 0.4987 0.9999 0.9999
Y4 Y 0.6250 0.6250 0.6250
Tm1 Tm 0.3743 0.3743 0.3743
S1 S 0.2287 0.7536 0.7536
S2 S 0.2433 0.2433 0.2433
S3 S 0.2475 0.2475 0.7651
S4 S 0.2475 0.7651 0.2475
S5 S 0.7536 0.2287 0.7536
S6 S 0.7536 0.7536 0.2287
S7 S 0.7578 0.7578 0.7578
S8 S 0.7651 0.2475 0.2475
```

Main lines, in order of rising 2θ (2θ = 5–70°):
2θ (°), I_rel
22.03, 33.6
25.88, 100.0
31.34, 17.9
38.60, 9.8
41.07, 26.0
41.11, 16.7
44.86, 30.5
44.97, 30.6
52.60, 9.9
62.53, 16.8

Simulated powder X-ray diffraction pattern of SmU2S3 for Cu Kα X-rays, from DFT lattice parameters and positions (PBE).
No peak broadening, texture or thermal motion is included.

Atomic structure:
```
data_SmU2S3
_space_group_name_H-M_alt 'P 1'
_space_group_IT_number 1
_space_group_name_Hall 'P 1'
_cell_length_a 5.5410
_cell_length_b 11.7476
_cell_length_c 7.8112
_cell_angle_alpha 90.00
_cell_angle_beta 90.11
_cell_angle_gamma 90.00
loop_
_atom_site_label
_atom_site_type_symbol
_atom_site_fract_x
_atom_site_fract_y
_atom_site_fract_z
Sm1 Sm 0.2496 0.0800 0.1261
Sm2 Sm 0.2496 0.4200 0.6261
Sm3 Sm 0.7504 0.5800 0.3739
Sm4 Sm 0.7504 0.9200 0.8739
U1 U 0.2494 0.0842 0.6224
U2 U 0.2494 0.4158 0.1224
U3 U 0.2511 0.7469 0.6244
U4 U 0.2511 0.7531 0.1244
U5 U 0.7489 0.2469 0.8756
U6 U 0.7489 0.2531 0.3756
U7 U 0.7506 0.5842 0.8776
U8 U 0.7506 0.9158 0.3776
S1 S 0.2489 0.2484 0.8743
S2 S 0.2489 0.2516 0.3743
S3 S 0.2504 0.5853 0.3680
S4 S 0.2504 0.9147 0.8680
S5 S 0.2507 0.5863 0.8804
S6 S 0.2507 0.9137 0.3804
S7 S 0.7493 0.0863 0.6196
S8 S 0.7493 0.4137 0.1196
S9 S 0.7496 0.0853 0.1320
S10 S 0.7496 0.4147 0.6320
S11 S 0.7511 0.7484 0.6257
S12 S 0.7511 0.7516 0.1257
```

Main lines, in order of rising 2θ (2θ = 5–70°):
2θ (°), I_rel
27.92, 97.7
32.35, 100.0
46.39, 60.9
46.50, 12.2
55.00, 32.3
55.11, 16.1
57.67, 19.2
57.82, 6.5
67.63, 4.1
67.78, 8.0